# EuZnIn3
Simulated powder diffraction line list, Cu Kα. Input: a GGA-PBE-relaxed structure.
Peak positions follow from Bragg's law for the DFT cell and can differ from measured ones.

Most intense lines, 2θ from 15° to 90°, by intensity:
- (1 1 2), 31.14 deg, d = 2.872 Å, I = 1000
- (2 0 0), 39.10 deg, d = 2.304 Å, I = 473
- (1 0 3), 29.35 deg, d = 3.043 Å, I = 430
- (1 0 5), 42.00 deg, d = 2.151 Å, I = 267
- (2 1 3), 49.64 deg, d = 1.837 Å, I = 234
- (3 1 2), 65.93 deg, d = 1.417 Å, I = 223
- (2 1 5), 58.73 deg, d = 1.572 Å, I = 193
- (2 2 0), 56.49 deg, d = 1.629 Å, I = 157
- (1 1 4), 40.59 deg, d = 2.223 Å, I = 153
- (2 0 8), 74.83 deg, d = 1.269 Å, I = 86

Cell: 4.607 4.607 12.163 Å, 90.00 90.00 90.00°
Space group I4mm (No. 107)
Asymmetric unit:
1 Eu 0.000 0.000 0.000 (multiplicity 2)
2 Zn 0.000 0.000 0.394 (multiplicity 2)
3 In 0.000 0.000 0.608 (multiplicity 2)
4 In 0.000 0.500 0.265 (multiplicity 4)